# 1
This entry pairs a crystal structure of Nd5Al2In2 with its theoretical powder diffraction line list. Radiation: Cu Kα, 1.54184 Å. Structure: a crystal structure in Alexandria, relaxed with PBE.
Peak positions follow from Bragg's law for the DFT cell and can differ from measured ones.

```
Nd5Al2In2
1.0
8.3152 -4.1141 0.0000
8.3152 4.1141 0.0000
0.0000 0.0000 7.9603
Nd Al In
10 4 4
direct
0.0000 0.0000 0.0000
0.0579 0.6741 0.6806
0.1741 0.5579 0.1806
0.3259 0.9421 0.6806
0.4421 0.8259 0.1806
0.5000 0.5000 0.5000
0.5579 0.1741 0.8194
0.6741 0.0579 0.3194
0.8259 0.4421 0.8194
0.9421 0.3259 0.3194
0.1133 0.8867 0.3864
0.3867 0.6133 0.8864
0.6133 0.3867 0.1136
0.8867 0.1133 0.6136
0.2199 0.2199 0.0000
0.2801 0.2801 0.5000
0.7199 0.7199 0.5000
0.7801 0.7801 0.0000
```

Top 6 peaks for 2θ from 10° to 90°, in order of rising 2θ:
2θ (°)	intensity
25.4	27
29.7	44
30.6	82
31.1	100
31.3	60
32.6	35

# 2
This entry pairs a crystal structure of Ce6PuCo with its theoretical powder diffraction line list. Radiation: Cu Kα, 1.54184 Å. Structure: a crystal structure in Alexandria, relaxed with PBE.
Peak positions follow from Bragg's law for the DFT cell and can differ from measured ones.

```
Ce6PuCo
1.0
4.8411 -3.8299 0.0000
4.8411 3.8299 0.0000
-1.6426 0.0000 10.9499
Ce Pu Co
12 2 2
direct
0.0591 0.5872 0.2943
0.1115 0.8425 0.5986
0.1575 0.8885 0.9014
0.2983 0.3954 0.0309
0.3954 0.2983 0.5309
0.4128 0.9409 0.2057
0.5872 0.0591 0.7943
0.6046 0.7017 0.4691
0.7017 0.6046 0.9691
0.8425 0.1115 0.0986
0.8885 0.1575 0.4014
0.9409 0.4128 0.7057
0.0000 0.5000 0.5000
0.5000 0.0000 0.0000
0.4602 0.5398 0.7500
0.5398 0.4602 0.2500
```

Top 6 peaks for 2θ from 10° to 90°, in order of rising 2θ:
2θ (°)	intensity
16.2	100
17.5	47
30.3	60
32.5	79
35.3	63
37.7	54

# 3
This entry pairs a crystal structure of Mg17BeZn11 with its theoretical powder diffraction line list. Radiation: Cu Kα, 1.54184 Å. Structure: a crystal structure in Alexandria, relaxed with PBE.
Peak positions follow from Bragg's law for the DFT cell and can differ from measured ones.

```
Mg17BeZn11
1.0
5.1703 -6.9170 0.0000
5.1703 6.9170 0.0000
-4.0861 0.0000 7.5742
Mg Be Zn
17 1 11
direct
0.0000 0.0000 0.0000
0.0045 0.0045 0.3765
0.0074 0.4181 0.0259
0.0077 0.6572 0.7860
0.2976 0.2976 0.0532
0.3013 0.6857 0.6690
0.3042 0.3042 0.6740
0.3767 0.6260 0.9998
0.4181 0.0074 0.0259
0.4215 0.6546 0.3733
0.6260 0.3767 0.9998
0.6283 0.6283 0.7341
0.6335 0.9965 0.3707
0.6546 0.4215 0.3733
0.6572 0.0077 0.7860
0.6857 0.3013 0.6690
0.9965 0.6335 0.3707
0.6985 0.6985 0.2450
0.1587 0.9666 0.7175
0.1605 0.3490 0.3374
0.2110 0.8105 0.1803
0.3483 0.9667 0.5289
0.3490 0.1605 0.3374
0.6881 0.8745 0.0606
0.8075 0.8075 0.5589
0.8105 0.2110 0.1803
0.8745 0.6881 0.0606
0.9666 0.1587 0.7175
0.9667 0.3483 0.5289
```

Top 6 peaks for 2θ from 10° to 90°, in order of rising 2θ:
2θ (°)	intensity
11.6	99
21.6	100
37.5	97
38.7	97
39.7	61
41.9	94

# 4
This entry pairs a crystal structure of Ac3Si2Pt4 with its theoretical powder diffraction line list. Radiation: Cu Kα, 1.54184 Å. Structure: a crystal structure in Alexandria, relaxed with PBE.
Peak positions follow from Bragg's law for the DFT cell and can differ from measured ones.

```
Ac3Si2Pt4
1.0
5.8489 -2.1483 0.0000
5.8489 2.1483 0.0000
-1.8228 0.0000 8.6673
Ac Si Pt
3 2 4
direct
0.0000 0.0000 0.0000
0.3338 0.3338 0.3293
0.6662 0.6662 0.6707
0.3913 0.3913 0.7160
0.6087 0.6087 0.2840
0.0601 0.0601 0.3788
0.2874 0.2874 0.9235
0.7126 0.7126 0.0765
0.9399 0.9399 0.6212
```

Top 6 peaks for 2θ from 10° to 90°, in order of rising 2θ:
2θ (°)	intensity
30.8	38
31.0	37
31.4	88
31.4	100
40.9	70
41.2	38

# 5
This entry pairs a crystal structure of LaY4S6 with its theoretical powder diffraction line list. Radiation: Cu Kα, 1.54184 Å. Structure: a crystal structure in Alexandria, relaxed with PBE.
Peak positions follow from Bragg's law for the DFT cell and can differ from measured ones.

```
LaY4S6
1.0
1.9590 -6.4698 0.0000
1.9590 6.4698 0.0000
0.0000 0.0000 19.9177
La Y S
2 8 12
direct
0.1557 0.8443 0.7500
0.8443 0.1557 0.2500
0.0930 0.9070 0.1260
0.0930 0.9070 0.3740
0.3609 0.6391 0.0398
0.3609 0.6391 0.4602
0.6391 0.3609 0.5398
0.6391 0.3609 0.9602
0.9070 0.0930 0.6260
0.9070 0.0930 0.8740
0.0000 0.0000 0.0000
0.0000 0.0000 0.5000
0.1830 0.8170 0.2500
0.2678 0.7322 0.5891
0.2678 0.7322 0.9109
0.4545 0.5455 0.1645
0.4545 0.5455 0.3355
0.5455 0.4545 0.6645
0.5455 0.4545 0.8355
0.7322 0.2678 0.0891
0.7322 0.2678 0.4109
0.8170 0.1830 0.7500
```

Top 6 peaks for 2θ from 10° to 90°, in order of rising 2θ:
2θ (°)	intensity
26.3	79
27.3	37
32.1	100
33.7	54
43.6	38
45.8	53

# 6
This entry pairs a crystal structure of KAl2SbS6 with its theoretical powder diffraction line list. Radiation: Cu Kα, 1.54184 Å. Structure: a crystal structure in Alexandria, relaxed with PBE.
Peak positions follow from Bragg's law for the DFT cell and can differ from measured ones.

```
KAl2SbS6
1.0
6.4648 -7.0145 0.0000
6.4648 7.0145 0.0000
-3.1369 0.0000 6.2778
K Al Sb S
2 4 2 12
direct
0.1253 0.8747 0.7500
0.8747 0.1253 0.2500
0.1647 0.3127 0.8666
0.3127 0.1647 0.3666
0.6873 0.8353 0.6334
0.8353 0.6873 0.1334
0.2905 0.7095 0.2500
0.7095 0.2905 0.7500
0.0643 0.6316 0.3002
0.1400 0.2210 0.1139
0.2210 0.1400 0.6139
0.3111 0.5366 0.9375
0.3684 0.9357 0.1998
0.4634 0.6889 0.5625
0.5366 0.3111 0.4375
0.6316 0.0643 0.8002
0.6889 0.4634 0.0625
0.7790 0.8600 0.3861
0.8600 0.7790 0.8861
0.9357 0.3684 0.6998
```

Top 6 peaks for 2θ from 10° to 90°, in order of rising 2θ:
2θ (°)	intensity
14.2	100
19.9	69
20.0	54
26.9	94
30.5	27
41.5	24

# 7
This entry pairs a crystal structure of PuCuSeS with its theoretical powder diffraction line list. Radiation: Cu Kα, 1.54184 Å. Structure: a crystal structure in Alexandria, relaxed with PBE.
Peak positions follow from Bragg's law for the DFT cell and can differ from measured ones.

```
PuCuSeS
1.0
2.1402 1.2356 10.7694
-2.1402 1.2356 10.7694
0.0000 -2.4713 10.7694
Pu Cu Se S
2 2 2 2
direct
0.1060 0.1060 0.1060
0.8940 0.8940 0.8940
0.3038 0.3038 0.3038
0.6962 0.6962 0.6962
0.3820 0.3820 0.3820
0.6180 0.6180 0.6180
0.1972 0.1972 0.1972
0.8028 0.8028 0.8028
```

Top 6 peaks for 2θ from 10° to 90°, in order of rising 2θ:
2θ (°)	intensity
16.5	24
26.5	100
27.7	49
36.9	75
42.2	72
46.3	25

# 8
This entry pairs a crystal structure of Ce3HoTh12 with its theoretical powder diffraction line list. Radiation: Cu Kα, 1.54184 Å. Structure: a crystal structure in Alexandria, relaxed with PBE.
Peak positions follow from Bragg's law for the DFT cell and can differ from measured ones.

```
Ce3HoTh12
1.0
4.9859 0.0000 0.0000
0.0000 4.9859 0.0000
0.0000 0.0000 20.0366
Ce Ho Th
3 1 12
direct
0.0000 0.0000 0.0000
0.0000 0.0000 0.2486
0.0000 0.0000 0.7514
0.0000 0.0000 0.5000
0.0000 0.5000 0.1239
0.0000 0.5000 0.3726
0.0000 0.5000 0.6274
0.0000 0.5000 0.8761
0.5000 0.0000 0.1239
0.5000 0.0000 0.3726
0.5000 0.0000 0.6274
0.5000 0.0000 0.8761
0.5000 0.5000 0.0000
0.5000 0.5000 0.2468
0.5000 0.5000 0.5000
0.5000 0.5000 0.7532
```

Top 6 peaks for 2θ from 10° to 90°, in order of rising 2θ:
2θ (°)	intensity
31.0	100
35.9	17
36.0	34
51.7	24
61.4	15
61.7	29